Starting from a structure optimized by DFT (GGA-PBE), the powder diffractogram of Th5Zn6 was calculated for Cu Kα (λ = 1.5418 Å).
Neutral-atom scattering factors, no anomalous dispersion.

Crystal structure
```
Th5Zn6
1.0
2.2604 -16.0078 0.0000
2.2604 16.0078 0.0000
0.0000 0.0000 3.6202
Th Zn
5 6
direct
0.0000 0.0000 0.0000 Th
0.1896 0.8104 0.5000 Th
0.3778 0.6222 0.0000 Th
0.6222 0.3778 0.0000 Th
0.8104 0.1896 0.5000 Th
0.0849 0.9151 0.5000 Zn
0.2733 0.7267 0.0000 Zn
0.4591 0.5409 0.5000 Zn
0.5409 0.4591 0.5000 Zn
0.7267 0.2733 0.0000 Zn
0.9151 0.0849 0.5000 Zn
```

Main lines, low angle first (10 to 80 degrees two-theta):
- d 3.693, 2θ = 24.10°, intensity 47
- d 2.732, 2θ = 32.79°, intensity 100
- d 2.685, 2θ = 33.38°, intensity 67
- d 2.447, 2θ = 36.72°, intensity 50
- d 2.260, 2θ = 39.88°, intensity 29
- d 1.810, 2θ = 50.42°, intensity 15
- d 1.729, 2θ = 52.96°, intensity 37
- d 1.455, 2θ = 63.98°, intensity 21
- d 1.413, 2θ = 66.14°, intensity 13
- d 1.380, 2θ = 67.95°, intensity 13

Starting from a structure optimized by DFT (GGA-PBE), the powder diffractogram of Li4NCl2 was calculated for Cu Kα (λ = 1.5418 Å).
Neutral-atom scattering factors, no anomalous dispersion.

Crystal structure
```
Li4NCl2
1.0
-1.9956 1.9956 6.3955
1.9956 -1.9956 6.3955
1.9956 1.9956 -6.3955
Li N Cl
4 1 2
direct
0.0000 0.5000 0.5000 Li
0.1578 0.1578 0.0000 Li
0.5000 0.0000 0.5000 Li
0.8422 0.8422 0.0000 Li
0.0000 0.0000 0.0000 N
0.3484 0.3484 0.0000 Cl
0.6516 0.6516 0.0000 Cl
```

Main lines, low angle first (10 to 80 degrees two-theta):
- d 3.810, 2θ = 23.35°, intensity 19
- d 3.198, 2θ = 27.90°, intensity 9
- d 2.914, 2θ = 30.68°, intensity 100
- d 2.822, 2θ = 31.70°, intensity 63
- d 2.132, 2θ = 42.40°, intensity 15
- d 2.116, 2θ = 42.73°, intensity 25
- d 1.996, 2θ = 45.45°, intensity 31
- d 1.701, 2θ = 53.90°, intensity 16
- d 1.646, 2θ = 55.84°, intensity 26
- d 1.457, 2θ = 63.90°, intensity 15